Diffraction record for Be2V. The XRD peak list is calculated, not measured: it uses a GGA-PBE-relaxed structure and Cu Kα (λ = 1.5418 Å).

Largest 10 diffraction maxima, in order of rising 2θ, 15° ≤ 2θ ≤ 90°:
- hkl 1 0 0, d = 3.782 Å, I = 68
- hkl 0 0 2, d = 3.523 Å, I = 32
- hkl 1 0 1, d = 3.332 Å, I = 53
- hkl 1 0 2, d = 2.578 Å, I = 25
- hkl 1 1 0, d = 2.184 Å, I = 86
- hkl 1 0 3, d = 1.995 Å, I = 100
- hkl 1 1 2, d = 1.856 Å, I = 61
- hkl 2 0 1, d = 1.826 Å, I = 25
- hkl 2 0 3, d = 1.473 Å, I = 19
- hkl 2 1 3, d = 1.221 Å, I = 34

a = 4.3671 Å, b = 4.3671 Å, c = 7.0459 Å
α = 90.00°, β = 90.00°, γ = 120.00°
Space group P6_3/mmc (No. 194)
Asymmetric unit:
Be: 0.0000 0.0000 0.0000 (multiplicity 2)
Be: 0.1713 0.3425 0.2500 (multiplicity 6)
V: 0.3333 0.6667 0.5677 (multiplicity 4)

Diffraction record for Be2W. The XRD peak list is calculated, not measured: it uses a GGA-PBE-relaxed structure and Cu Kα (λ = 1.5418 Å).

Largest 10 diffraction maxima, in order of rising 2θ, 15° ≤ 2θ ≤ 90°:
- hkl 1 0 0, d = 3.863 Å, I = 90
- hkl 0 0 2, d = 3.667 Å, I = 53
- hkl 1 0 1, d = 3.418 Å, I = 59
- hkl 1 0 2, d = 2.659 Å, I = 37
- hkl 1 1 0, d = 2.230 Å, I = 95
- hkl 1 0 3, d = 2.066 Å, I = 100
- hkl 1 1 2, d = 1.905 Å, I = 65
- hkl 2 0 3, d = 1.515 Å, I = 33
- hkl 1 0 5, d = 1.371 Å, I = 25
- hkl 2 1 3, d = 1.253 Å, I = 40

a = 4.4604 Å, b = 4.4604 Å, c = 7.3336 Å
α = 90.00°, β = 90.00°, γ = 120.00°
Space group P6_3/mmc (No. 194)
Asymmetric unit:
Be: 0.0000 0.0000 0.0000 (multiplicity 2)
Be: 0.1698 0.3397 0.2500 (multiplicity 6)
W: 0.3333 0.6667 0.5623 (multiplicity 4)

Diffraction record for Be13W. The XRD peak list is calculated, not measured: it uses a GGA-PBE-relaxed structure and Cu Kα (λ = 1.5418 Å).

Largest 10 diffraction maxima, in order of rising 2θ, 15° ≤ 2θ ≤ 90°:
- hkl 3 1 1, d = 4.111 Å, I = 83
- hkl 2 2 2, d = 3.936 Å, I = 100
- hkl 4 0 0, d = 3.408 Å, I = 44
- hkl 3 3 1, d = 3.128 Å, I = 47
- hkl 3 3 3, d = 2.624 Å, I = 26
- hkl 4 4 0, d = 2.410 Å, I = 42
- hkl 5 3 1, d = 2.305 Å, I = 35
- hkl 6 2 2, d = 2.055 Å, I = 51
- hkl 5 5 3, d = 1.775 Å, I = 27
- hkl 8 4 0, d = 1.524 Å, I = 24

a = 13.6339 Å, b = 13.6339 Å, c = 13.6339 Å
α = 90.00°, β = 90.00°, γ = 90.00°
Space group Fd-3m (No. 227, origin choice 2)
Asymmetric unit:
Be: 0.0068 0.0068 0.1225 (multiplicity 96)
Be: 0.0733 0.0733 0.3755 (multiplicity 96)
Be: 0.1250 0.1250 0.1250 (multiplicity 8)
Be: 0.1250 0.1250 0.6250 (multiplicity 8)
W: 0.0000 0.0000 0.5000 (multiplicity 16)

Diffraction record for Be13W. The XRD peak list is calculated, not measured: it uses a GGA-PBE-relaxed structure and Cu Kα (λ = 1.5418 Å).

Largest 10 diffraction maxima, in order of rising 2θ, 15° ≤ 2θ ≤ 90°:
- hkl 3 1 1, d = 4.154 Å, I = 91
- hkl 2 2 2, d = 3.977 Å, I = 100
- hkl 4 0 0, d = 3.444 Å, I = 74
- hkl 3 3 1, d = 3.161 Å, I = 46
- hkl 5 1 1, d = 2.651 Å, I = 34
- hkl 4 4 0, d = 2.436 Å, I = 42
- hkl 5 3 1, d = 2.329 Å, I = 42
- hkl 6 2 2, d = 2.077 Å, I = 61
- hkl 5 5 1, d = 1.929 Å, I = 30
- hkl 5 5 3, d = 1.794 Å, I = 34

a = 13.7774 Å, b = 13.7774 Å, c = 13.7774 Å
α = 90.00°, β = 90.00°, γ = 90.00°
Space group Fd-3m (No. 227, origin choice 2)
Asymmetric unit:
Be: 0.0083 0.0083 0.1155 (multiplicity 96)
Be: 0.0213 0.0213 0.3437 (multiplicity 96)
Be: 0.1250 0.1250 0.1250 (multiplicity 8)
Be: 0.1250 0.1250 0.6250 (multiplicity 8)
W: 0.0000 0.0000 0.5000 (multiplicity 16)

Diffraction record for Be12W. The XRD peak list is calculated, not measured: it uses a GGA-PBE-relaxed structure and Cu Kα (λ = 1.5418 Å).

Largest 10 diffraction maxima, in order of rising 2θ, 15° ≤ 2θ ≤ 90°:
- hkl 1 1 0, d = 5.099 Å, I = 100
- hkl 1 0 1, d = 3.627 Å, I = 88
- hkl 2 0 0, d = 3.605 Å, I = 41
- hkl 2 1 1, d = 2.557 Å, I = 78
- hkl 2 2 0, d = 2.549 Å, I = 19
- hkl 3 1 0, d = 2.280 Å, I = 29
- hkl 3 0 1, d = 2.086 Å, I = 28
- hkl 2 0 2, d = 1.813 Å, I = 20
- hkl 4 0 0, d = 1.805 Å, I = 49
- hkl 4 1 1, d = 1.614 Å, I = 21

a = 7.2105 Å, b = 7.2105 Å, c = 4.1961 Å
α = 90.00°, β = 90.00°, γ = 90.00°
Space group I4/mmm (No. 139)
Asymmetric unit:
Be: 0.0000 0.2108 0.0000 (multiplicity 8)
Be: 0.0000 0.3508 0.5000 (multiplicity 8)
Be: 0.2500 0.2500 0.2500 (multiplicity 8)
W: 0.0000 0.0000 0.5000 (multiplicity 2)

Diffraction record for Zr2Be17. The XRD peak list is calculated, not measured: it uses a GGA-PBE-relaxed structure and Cu Kα (λ = 1.5418 Å).

Largest 10 diffraction maxima, in order of rising 2θ, 15° ≤ 2θ ≤ 90°:
- hkl 1 0 1, d = 5.598 Å, I = 59
- hkl 0 1 2, d = 4.194 Å, I = 27
- hkl 1 1 0, d = 3.758 Å, I = 100
- hkl 0 0 3, d = 3.657 Å, I = 32
- hkl 1 1 3, d = 2.621 Å, I = 100
- hkl 3 0 0, d = 2.170 Å, I = 36
- hkl 2 2 0, d = 1.879 Å, I = 30
- hkl 3 0 3, d = 1.866 Å, I = 54
- hkl 0 0 6, d = 1.830 Å, I = 26
- hkl 4 1 3, d = 1.324 Å, I = 25

a = 7.5157 Å, b = 7.5157 Å, c = 10.9705 Å
α = 90.00°, β = 90.00°, γ = 120.00°
Space group R-3m (No. 166, hexagonal axes)
Asymmetric unit:
Zr: 0.0000 0.0000 0.1626 (multiplicity 6)
Be: 0.0000 0.0000 0.4035 (multiplicity 6)
Be: 0.0000 0.2867 0.5000 (multiplicity 18)
Be: 0.0000 0.5000 0.0000 (multiplicity 9)
Be: 0.0016 0.5008 0.6579 (multiplicity 18)

Diffraction record for ZrBe13. The XRD peak list is calculated, not measured: it uses a GGA-PBE-relaxed structure and Cu Kα (λ = 1.5418 Å).

Largest 10 diffraction maxima, in order of rising 2θ, 15° ≤ 2θ ≤ 90°:
- hkl 2 0 0, d = 4.998 Å, I = 80
- hkl 2 2 0, d = 3.534 Å, I = 100
- hkl 2 2 2, d = 2.886 Å, I = 46
- hkl 4 0 0, d = 2.499 Å, I = 24
- hkl 4 2 0, d = 2.235 Å, I = 79
- hkl 4 2 2, d = 2.040 Å, I = 72
- hkl 6 2 0, d = 1.580 Å, I = 27
- hkl 6 4 0, d = 1.386 Å, I = 18
- hkl 6 4 2, d = 1.336 Å, I = 29
- hkl 8 2 0, d = 1.212 Å, I = 21

a = 9.9957 Å, b = 9.9957 Å, c = 9.9957 Å
α = 90.00°, β = 90.00°, γ = 90.00°
Space group Fm-3c (No. 226)
Asymmetric unit:
Zr: 0.2500 0.2500 0.2500 (multiplicity 8)
Be: 0.0000 0.0000 0.0000 (multiplicity 8)
Be: 0.0000 0.1155 0.1775 (multiplicity 96)

Diffraction record for ZrBe2. The XRD peak list is calculated, not measured: it uses a GGA-PBE-relaxed structure and Cu Kα (λ = 1.5418 Å).

Largest 10 diffraction maxima, in order of rising 2θ, 15° ≤ 2θ ≤ 90°:
- hkl 1 0 0, d = 3.310 Å, I = 100
- hkl 0 0 1, d = 3.238 Å, I = 27
- hkl 1 0 1, d = 2.314 Å, I = 96
- hkl 1 1 0, d = 1.911 Å, I = 30
- hkl 2 0 0, d = 1.655 Å, I = 13
- hkl 1 1 1, d = 1.646 Å, I = 22
- hkl 2 0 1, d = 1.474 Å, I = 22
- hkl 1 0 2, d = 1.454 Å, I = 16
- hkl 1 1 2, d = 1.235 Å, I = 14
- hkl 2 1 1, d = 1.167 Å, I = 20

a = 3.8221 Å, b = 3.8221 Å, c = 3.2375 Å
α = 90.00°, β = 90.00°, γ = 120.00°
Space group P6/mmm (No. 191)
Asymmetric unit:
Zr: 0.0000 0.0000 0.0000 (multiplicity 1)
Be: 0.3333 0.6667 0.5000 (multiplicity 2)

Diffraction record for BiBr. The XRD peak list is calculated, not measured: it uses a GGA-PBE-relaxed structure and Cu Kα (λ = 1.5418 Å).

Largest 10 diffraction maxima, in order of rising 2θ, 15° ≤ 2θ ≤ 90°:
- hkl 2 0 -3, d = 5.895 Å, I = 32
- hkl 2 0 4, d = 3.575 Å, I = 21
- hkl 2 0 -6, d = 3.530 Å, I = 21
- hkl 0 0 6, d = 3.386 Å, I = 40
- hkl 3 1 -2, d = 3.200 Å, I = 100
- hkl 3 1 0, d = 3.132 Å, I = 40
- hkl 5 1 -1, d = 2.381 Å, I = 19
- hkl 3 1 -8, d = 2.229 Å, I = 27
- hkl 0 2 0, d = 2.134 Å, I = 26
- hkl 3 1 6, d = 2.081 Å, I = 23

a = 14.6343 Å, b = 4.2681 Å, c = 21.4938 Å
α = 90.00°, β = 109.04°, γ = 90.00°
Space group C2/m (No. 12)
Asymmetric unit:
Bi: 0.0707 0.0000 0.3551 (multiplicity 4)
Bi: 0.1738 0.0000 0.9945 (multiplicity 4)
Bi: 0.1788 0.0000 0.5051 (multiplicity 4)
Bi: 0.2058 0.0000 0.1438 (multiplicity 4)
Br: 0.0497 0.5000 0.6182 (multiplicity 4)
Br: 0.0591 0.5000 0.1130 (multiplicity 4)
Br: 0.1477 0.0000 0.8179 (multiplicity 4)
Br: 0.1821 0.5000 0.3183 (multiplicity 4)